Record 1
Starting from a GGA-PBE-relaxed structure, the powder diffraction line list of Nb4CoSe8 was calculated for copper Kα.
Peak positions follow from Bragg's law for the DFT cell and can differ from measured ones.

Atomic structure:
a = 6.9582 Å, b = 6.9582 Å, c = 12.3601 Å
α = 90.00°, β = 90.00°, γ = 120.00°
Atoms (fractional coordinates):
Nb 0.0000 0.0000 0.2500
Nb 0.0000 0.0000 0.7500
Nb 0.0184 0.5092 0.2500
Nb 0.4908 0.5092 0.2500
Nb 0.4908 0.9816 0.2500
Nb 0.5092 0.0184 0.7500
Nb 0.5092 0.4908 0.7500
Nb 0.9816 0.4908 0.7500
Co 0.0000 0.0000 0.0000
Co 0.0000 0.0000 0.5000
Se 0.1667 0.3334 0.6156
Se 0.1667 0.3334 0.8844
Se 0.1667 0.8333 0.6156
Se 0.1667 0.8333 0.8844
Se 0.3334 0.1667 0.1156
Se 0.3334 0.1667 0.3844
Se 0.3333 0.6667 0.1079
Se 0.3333 0.6667 0.3921
Se 0.6667 0.3333 0.6079
Se 0.6667 0.3333 0.8921
Se 0.6666 0.8333 0.6156
Se 0.6666 0.8333 0.8844
Se 0.8333 0.1667 0.1156
Se 0.8333 0.1667 0.3844
Se 0.8333 0.6666 0.1156
Se 0.8333 0.6666 0.3844

Peak list (10 most intense, 2θ = 10–90°, sorted by position)
2θ (°), d [Å], I (rel.)
14.33, 6.180, 24.4
30.54, 2.927, 56.8
33.08, 2.708, 45.8
36.96, 2.432, 55.1
41.88, 2.157, 100.0
52.61, 1.740, 52.1
60.80, 1.523, 16.1
69.40, 1.354, 20.8
70.91, 1.329, 12.0
83.73, 1.155, 21.7


Record 2
Starting from a GGA-PBE-relaxed structure, the powder diffraction line list of Nb4Co2WSe12 was calculated for copper Kα.
Peak positions follow from Bragg's law for the DFT cell and can differ from measured ones.

Atomic structure:
a = 7.0956 Å, b = 7.0956 Å, c = 19.3510 Å
α = 109.64°, β = 109.64°, γ = 27.56°
Atoms (fractional coordinates):
Nb 0.1168 0.1168 0.1447
Nb 0.2414 0.2414 0.4063
Nb 0.7586 0.7586 0.5937
Nb 0.8832 0.8832 0.8553
Co 0.2737 0.2737 0.7179
Co 0.7263 0.7263 0.2821
W 0.5000 0.5000 0.0000
Se 0.1007 0.1007 0.2782
Se 0.1271 0.1271 0.6097
Se 0.3036 0.3036 0.2340
Se 0.3094 0.3094 0.9294
Se 0.3700 0.3700 0.5489
Se 0.4609 0.4609 0.1167
Se 0.5391 0.5391 0.8833
Se 0.6300 0.6300 0.4511
Se 0.6906 0.6906 0.0706
Se 0.6964 0.6964 0.7660
Se 0.8729 0.8729 0.3903
Se 0.8993 0.8993 0.7218

Peak list (10 most intense, 2θ = 10–90°, sorted by position)
2θ (°), d [Å], I (rel.)
12.85, 6.891, 100.0
13.77, 6.429, 47.8
28.16, 3.169, 29.4
29.85, 2.993, 24.6
35.28, 2.544, 37.6
36.90, 2.436, 28.3
37.19, 2.418, 29.8
40.07, 2.250, 33.1
44.09, 2.054, 24.4
54.28, 1.690, 24.2


Record 3
Starting from a GGA-PBE-relaxed structure, the powder diffraction line list of NbCo2Si was calculated for copper Kα.
Peak positions follow from Bragg's law for the DFT cell and can differ from measured ones.

Atomic structure:
a = 5.8653 Å, b = 5.8653 Å, c = 5.8653 Å
α = 90.00°, β = 90.00°, γ = 90.00°
Atoms (fractional coordinates):
Nb 0.0000 0.0000 0.0000
Nb 0.0000 0.5000 0.5000
Nb 0.5000 0.0000 0.5000
Nb 0.5000 0.5000 0.0000
Co 0.2500 0.2500 0.2500
Co 0.2500 0.2500 0.7500
Co 0.2500 0.7500 0.2500
Co 0.2500 0.7500 0.7500
Co 0.7500 0.2500 0.2500
Co 0.7500 0.2500 0.7500
Co 0.7500 0.7500 0.2500
Co 0.7500 0.7500 0.7500
Si 0.0000 0.0000 0.5000
Si 0.0000 0.5000 0.0000
Si 0.5000 0.0000 0.0000
Si 0.5000 0.5000 0.5000

Peak list (7 most intense, 2θ = 10–90°, sorted by position)
2θ (°), d [Å], I (rel.)
26.32, 3.386, 19.3
43.65, 2.074, 100.0
51.69, 1.768, 9.0
63.44, 1.466, 15.5
69.91, 1.346, 3.5
80.17, 1.197, 30.6
86.15, 1.129, 2.6


Record 4
Starting from a GGA-PBE-relaxed structure, the powder diffraction line list of TaNbCo2Sn2 was calculated for copper Kα.
Peak positions follow from Bragg's law for the DFT cell and can differ from measured ones.

Atomic structure:
a = 8.4212 Å, b = 4.2102 Å, c = 12.6317 Å
α = 90.00°, β = 109.47°, γ = 90.00°
Atoms (fractional coordinates):
Ta 0.0000 0.0000 0.0000
Ta 0.1249 0.5000 0.7498
Ta 0.2501 0.0000 0.4999
Ta 0.5001 0.0000 0.0000
Nb 0.3751 0.5000 0.2500
Nb 0.6251 0.5000 0.7498
Nb 0.7499 0.0000 0.4998
Nb 0.8750 0.5000 0.2500
Co 0.0623 0.5000 0.1244
Co 0.1875 0.0000 0.8749
Co 0.3119 0.5000 0.6247
Co 0.4371 0.0000 0.3751
Co 0.5623 0.5000 0.1244
Co 0.6878 0.0000 0.8754
Co 0.8132 0.5000 0.6252
Co 0.9382 0.0000 0.3752
Sn 0.0002 0.5000 0.5000
Sn 0.1250 0.0000 0.2499
Sn 0.2500 0.5000 0.9998
Sn 0.3749 0.0000 0.7499
Sn 0.5000 0.5000 0.5000
Sn 0.6250 0.0000 0.2498
Sn 0.7500 0.5000 0.9999
Sn 0.8752 0.0000 0.7500

Peak list (10 most intense, 2θ = 10–90°, sorted by position)
2θ (°), d [Å], I (rel.)
11.14, 7.940, 1.7
25.92, 3.438, 10.6
30.01, 2.977, 49.3
42.96, 2.105, 100.0
50.86, 1.795, 4.5
53.29, 1.719, 13.8
62.38, 1.489, 16.5
68.71, 1.366, 1.7
70.76, 1.331, 18.6
78.73, 1.215, 33.9


Record 5
Starting from a GGA-PBE-relaxed structure, the powder diffraction line list of TaNbCo6 was calculated for copper Kα.
Peak positions follow from Bragg's law for the DFT cell and can differ from measured ones.

Atomic structure:
a = 4.1283 Å, b = 5.1489 Å, c = 4.5549 Å
α = 90.00°, β = 90.00°, γ = 90.00°
Atoms (fractional coordinates):
Ta 0.0000 0.0000 0.0000
Nb 0.5000 0.5000 0.6982
Co 0.0000 0.2457 0.5051
Co 0.0000 0.5000 0.0443
Co 0.0000 0.7543 0.5051
Co 0.5000 0.0000 0.6552
Co 0.5000 0.2533 0.1939
Co 0.5000 0.7467 0.1939

Peak list (10 most intense, 2θ = 10–90°, sorted by position)
2θ (°), d [Å], I (rel.)
27.70, 3.221, 16.2
34.09, 2.630, 13.7
40.24, 2.241, 30.2
43.86, 2.064, 40.5
45.49, 1.994, 56.6
46.08, 1.970, 100.0
61.03, 1.518, 17.6
72.24, 1.308, 15.3
82.20, 1.173, 17.0
88.51, 1.105, 18.0


Record 6
Starting from a GGA-PBE-relaxed structure, the powder diffraction line list of Ta6NbCo6 was calculated for copper Kα.
Peak positions follow from Bragg's law for the DFT cell and can differ from measured ones.

Atomic structure:
a = 9.2170 Å, b = 9.2170 Å, c = 9.2170 Å
α = 31.15°, β = 31.15°, γ = 31.15°
Atoms (fractional coordinates):
Ta 0.0499 0.0499 0.0499
Ta 0.1541 0.1541 0.1541
Ta 0.3339 0.3339 0.3339
Ta 0.6661 0.6661 0.6661
Ta 0.8459 0.8459 0.8459
Ta 0.9501 0.9501 0.9501
Nb 0.5000 0.5000 0.5000
Co 0.0806 0.5917 0.5917
Co 0.4083 0.4083 0.9194
Co 0.4083 0.9194 0.4083
Co 0.5917 0.0806 0.5917
Co 0.5917 0.5917 0.0806
Co 0.9194 0.4083 0.4083

Peak list (10 most intense, 2θ = 10–90°, sorted by position)
2θ (°), d [Å], I (rel.)
36.31, 2.474, 100.0
40.24, 2.241, 55.5
41.93, 2.155, 75.4
42.32, 2.136, 20.3
43.35, 2.087, 39.9
65.31, 1.429, 19.6
67.97, 1.379, 22.6
70.19, 1.341, 19.1
75.62, 1.258, 21.4
77.09, 1.237, 23.7


Record 7
Starting from a GGA-PBE-relaxed structure, the powder diffraction line list of Ta2Nb5Co6 was calculated for copper Kα.
Peak positions follow from Bragg's law for the DFT cell and can differ from measured ones.

Atomic structure:
a = 9.2266 Å, b = 9.2266 Å, c = 9.2266 Å
α = 31.14°, β = 31.14°, γ = 31.14°
Atoms (fractional coordinates):
Ta 0.0508 0.0508 0.0508
Ta 0.9492 0.9492 0.9492
Nb 0.1537 0.1537 0.1537
Nb 0.3337 0.3337 0.3337
Nb 0.5000 0.5000 0.5000
Nb 0.6663 0.6663 0.6663
Nb 0.8463 0.8463 0.8463
Co 0.0805 0.5917 0.5917
Co 0.4083 0.4083 0.9195
Co 0.4083 0.9195 0.4083
Co 0.5917 0.0805 0.5917
Co 0.5917 0.5917 0.0805
Co 0.9195 0.4083 0.4083

Peak list (10 most intense, 2θ = 10–90°, sorted by position)
2θ (°), d [Å], I (rel.)
36.27, 2.477, 100.0
40.20, 2.243, 61.7
41.89, 2.157, 54.4
42.28, 2.138, 42.1
43.30, 2.089, 60.2
45.68, 1.986, 27.4
48.15, 1.890, 31.8
70.11, 1.342, 28.5
75.53, 1.259, 30.0
77.01, 1.238, 30.0


Record 8
Starting from a GGA-PBE-relaxed structure, the powder diffraction line list of NdCo2 was calculated for copper Kα.
Peak positions follow from Bragg's law for the DFT cell and can differ from measured ones.

Atomic structure:
a = 5.1359 Å, b = 5.1443 Å, c = 7.2864 Å
α = 90.00°, β = 90.00°, γ = 90.00°
Atoms (fractional coordinates):
Nd 0.0000 0.2500 0.1245
Nd 0.0000 0.7500 0.8755
Nd 0.5000 0.2500 0.3755
Nd 0.5000 0.7500 0.6245
Co 0.0000 0.0000 0.5000
Co 0.0000 0.5000 0.5000
Co 0.2500 0.2500 0.7500
Co 0.2500 0.7500 0.2500
Co 0.5000 0.0000 0.0000
Co 0.5000 0.5000 0.0000
Co 0.7500 0.2500 0.7500
Co 0.7500 0.7500 0.2500

Peak list (10 most intense, 2θ = 10–90°, sorted by position)
2θ (°), d [Å], I (rel.)
21.15, 4.200, 10.5
34.88, 2.572, 61.4
41.15, 2.193, 100.0
43.07, 2.100, 16.5
62.52, 1.486, 15.0
62.62, 1.484, 7.5
66.74, 1.402, 11.5
66.87, 1.399, 18.9
73.63, 1.286, 18.7
87.99, 1.110, 7.2